# Li2Ho3Al9
Theoretical X-ray diffraction stick pattern, Cu Kα. Input: a crystal structure in Alexandria, relaxed with GGA-PBE.
Kinematic intensities with the Lorentz-polarization factor, no thermal factor.

Most intense lines, 2θ = 10–90°, by angle:
| Position (°2θ) | I_rel |
| --- | --- |
| 18.01 | 66 |
| 22.37 | 70 |
| 23.15 | 58 |
| 29.69 | 56 |
| 34.23 | 64 |
| 34.95 | 100 |

Structure:
abc: 8.255 8.255 8.255
angles: 149.50 106.72 81.41
Fractional coordinates of all 14 atoms:
Li 0.190 0.000 0.190
Li 0.810 0.000 0.810
Ho 0.197 0.197 0.000
Ho 0.500 0.500 0.000
Ho 0.803 0.803 0.000
Al 0.000 0.500 0.500
Al 0.083 0.363 0.719
Al 0.214 0.847 0.367
Al 0.356 0.637 0.719
Al 0.480 0.847 0.633
Al 0.520 0.153 0.367
Al 0.644 0.363 0.281
Al 0.786 0.153 0.633
Al 0.917 0.637 0.281